Structure and computed PXRD pattern of SmDy2Tm5 (a crystal structure in Alexandria, relaxed with PBE; Cu Kα (weighted mean of Kα1 and Kα2)).
Lines closer than 0.1° are merged.

Main lines, sorted by position (2θ = 15–90°):
hkl  two_theta  I_rel
2 1 -2  29.19  225
0 3 2  31.33  180
0 8 0  31.81  325
2 4 0  33.09  1000
0 5 2  35.25  143
2 0 2  51.24  259
2 12 0  57.50  208
2 8 2  61.59  298
4 4 -4  62.36  163
2 16 2  88.56  114

Crystal structure
a = 7.133 Å, b = 22.503 Å, c = 7.127 Å
α = 90.00°, β = 119.94°, γ = 90.00°
Space group P2_1/c (No. 14)
Symmetry-distinct sites (fractional):
1 Sm 0.082 0.126 0.416 [4 per cell]
2 Dy 0.251 0.501 0.750 [4 per cell]
3 Dy 0.418 0.626 0.584 [4 per cell]
4 Tm 0.082 0.126 0.916 [4 per cell]
5 Tm 0.249 0.250 0.249 [4 per cell]
6 Tm 0.251 0.000 0.751 [4 per cell]
7 Tm 0.251 0.749 0.751 [4 per cell]
8 Tm 0.418 0.626 0.084 [4 per cell]